LuB4Rh4: theoretical powder diffraction line list (CuKα), based on a GGA-PBE-relaxed structure.
Kinematic intensities with the Lorentz-polarization factor, no thermal factor.

Atomic structure:
abc: 11.7951 11.7951 7.5099
angles: 90.00 90.00 142.98
Fractional positions:
Lu1 0.0823 0.9177 0.7500
Lu2 0.2500 0.7500 0.2500
Lu3 0.4177 0.5823 0.7500
Lu4 0.5823 0.4177 0.2500
Lu5 0.7500 0.2500 0.7500
Lu6 0.9177 0.0823 0.2500
B1 0.0036 0.7233 0.4205
B2 0.0516 0.6569 0.5821
B3 0.1409 0.1979 0.8861
B4 0.1569 0.5516 0.9179
B5 0.1979 0.1409 0.3861
B6 0.2233 0.5036 0.0795
B7 0.2767 0.9964 0.0795
B8 0.3021 0.3591 0.3861
B9 0.3431 0.9484 0.9179
B10 0.3591 0.3021 0.8861
B11 0.4484 0.8431 0.5821
B12 0.4964 0.7767 0.4205
B13 0.5036 0.2233 0.5795
B14 0.5516 0.1569 0.4179
B15 0.6409 0.6979 0.1139
B16 0.6569 0.0516 0.0821
B17 0.6979 0.6409 0.6139
B18 0.7233 0.0036 0.9205
B19 0.7767 0.4964 0.9205
B20 0.8021 0.8591 0.6139
B21 0.8431 0.4484 0.0821
B22 0.8591 0.8021 0.1139
B23 0.9484 0.3431 0.4179
B24 0.9964 0.2767 0.5795
Rh1 0.0298 0.2785 0.8661
Rh2 0.0584 0.6459 0.8713
Rh3 0.0756 0.1591 0.5937
Rh4 0.1459 0.5584 0.6287
Rh5 0.1591 0.0756 0.0937
Rh6 0.2215 0.4702 0.3661
Rh7 0.2785 0.0298 0.3661
Rh8 0.3409 0.4244 0.0937
Rh9 0.3541 0.9416 0.6287
Rh10 0.4244 0.3409 0.5937
Rh11 0.4416 0.8541 0.8713
Rh12 0.4702 0.2215 0.8661
Rh13 0.5298 0.7785 0.1339
Rh14 0.5584 0.1459 0.1287
Rh15 0.5756 0.6591 0.4063
Rh16 0.6459 0.0584 0.3713
Rh17 0.6591 0.5756 0.9063
Rh18 0.7215 0.9702 0.6339
Rh19 0.7785 0.5298 0.6339
Rh20 0.8409 0.9244 0.9063
Rh21 0.8541 0.4416 0.3713
Rh22 0.9244 0.8409 0.4063
Rh23 0.9416 0.3541 0.1287
Rh24 0.9702 0.7215 0.1339

Largest 12 diffraction maxima, most intense first, 10° ≤ 2θ ≤ 90°:
Position (°2θ), intensity
39.89, 100
40.06, 42
33.37, 29
31.11, 24
64.70, 20
33.85, 20
38.91, 18
71.29, 12
42.09, 11
41.81, 11
71.41, 11
55.01, 11

LuThB8Rh8: theoretical powder diffraction line list (CuKα), based on a GGA-PBE-relaxed structure.
Kinematic intensities with the Lorentz-polarization factor, no thermal factor.

Atomic structure:
abc: 5.3496 5.3496 7.5231
angles: 90.00 90.00 90.00
Fractional positions:
Lu1 0.0000 0.0000 0.0000
Th1 0.5000 0.5000 0.5000
B1 0.0000 0.3333 0.6500
B2 0.0000 0.6667 0.6500
B3 0.1686 0.5000 0.1477
B4 0.3333 0.0000 0.3500
B5 0.5000 0.1686 0.8523
B6 0.5000 0.8314 0.8523
B7 0.6667 0.0000 0.3500
B8 0.8314 0.5000 0.1477
Rh1 0.0000 0.2488 0.3498
Rh2 0.0000 0.7512 0.3498
Rh3 0.2488 0.0000 0.6502
Rh4 0.2493 0.5000 0.8574
Rh5 0.5000 0.2493 0.1426
Rh6 0.5000 0.7507 0.1426
Rh7 0.7512 0.0000 0.6502
Rh8 0.7507 0.5000 0.8574

Largest 12 diffraction maxima, most intense first, 10° ≤ 2θ ≤ 90°:
Position (°2θ), intensity
39.53, 100
39.70, 71
35.62, 60
33.57, 43
29.02, 34
23.52, 27
70.63, 26
44.90, 26
54.27, 25
63.96, 23
64.08, 19
70.40, 16

LuUB8: theoretical powder diffraction line list (CuKα), based on a GGA-PBE-relaxed structure.
Kinematic intensities with the Lorentz-polarization factor, no thermal factor.

Atomic structure:
abc: 7.0452 7.0452 3.9605
angles: 90.00 90.00 90.58
Fractional positions:
Lu1 0.1841 0.8159 0.0000
Lu2 0.8159 0.1841 0.0000
U1 0.3114 0.3114 0.0000
U2 0.6886 0.6886 0.0000
B1 0.0000 0.5000 0.2005
B2 0.0000 0.5000 0.7995
B3 0.0397 0.3221 0.5000
B4 0.0880 0.0880 0.5000
B5 0.1786 0.5369 0.5000
B6 0.3221 0.0397 0.5000
B7 0.4140 0.5860 0.5000
B8 0.4631 0.8214 0.5000
B9 0.5000 0.0000 0.2005
B10 0.5000 0.0000 0.7995
B11 0.5369 0.1786 0.5000
B12 0.5860 0.4140 0.5000
B13 0.6779 0.9603 0.5000
B14 0.8214 0.4631 0.5000
B15 0.9120 0.9120 0.5000
B16 0.9603 0.6779 0.5000

Largest 12 diffraction maxima, most intense first, 10° ≤ 2θ ≤ 90°:
Position (°2θ), intensity
22.45, 100
34.06, 97
36.53, 81
25.28, 76
36.35, 67
28.44, 65
28.21, 54
58.99, 32
58.73, 30
53.05, 27
53.78, 26
45.82, 24

YbLuB24: theoretical powder diffraction line list (CuKα), based on a GGA-PBE-relaxed structure.
Kinematic intensities with the Lorentz-polarization factor, no thermal factor.

Atomic structure:
abc: 9.1514 9.1514 9.1514
angles: 33.54 33.54 33.54
Fractional positions:
Yb1 0.0000 0.0000 0.0000
Lu1 0.5000 0.5000 0.5000
B1 0.0812 0.0812 0.4185
B2 0.0812 0.4185 0.0812
B3 0.0808 0.4189 0.4189
B4 0.0878 0.4123 0.7504
B5 0.0878 0.7504 0.4123
B6 0.2496 0.5877 0.9122
B7 0.2496 0.9122 0.5877
B8 0.4123 0.0878 0.7504
B9 0.4123 0.7504 0.0878
B10 0.4185 0.0812 0.0812
B11 0.4189 0.0808 0.4189
B12 0.4189 0.4189 0.0808
B13 0.5811 0.5811 0.9192
B14 0.5811 0.9192 0.5811
B15 0.5815 0.9188 0.9188
B16 0.5877 0.2496 0.9122
B17 0.5877 0.9122 0.2496
B18 0.7504 0.0878 0.4123
B19 0.7504 0.4123 0.0878
B20 0.9122 0.2496 0.5877
B21 0.9122 0.5877 0.2496
B22 0.9192 0.5811 0.5811
B23 0.9188 0.5815 0.9188
B24 0.9188 0.9188 0.5815

Largest 12 diffraction maxima, most intense first, 10° ≤ 2θ ≤ 90°:
Position (°2θ), intensity
40.03, 100
20.60, 99
23.82, 74
33.95, 45
53.47, 34
75.26, 31
41.90, 30
60.74, 29
54.98, 25
76.52, 21
64.86, 17
48.77, 12

MgB4: theoretical powder diffraction line list (CuKα), based on a GGA-PBE-relaxed structure.
Kinematic intensities with the Lorentz-polarization factor, no thermal factor.

Atomic structure:
abc: 5.4846 4.3967 7.4227
angles: 90.00 90.00 90.00
Fractional positions:
Mg1 0.0455 0.2500 0.1378
Mg2 0.4545 0.7500 0.6378
Mg3 0.5455 0.2500 0.3622
Mg4 0.9545 0.7500 0.8622
B1 0.0532 0.2500 0.6470
B2 0.1323 0.0580 0.4368
B3 0.1323 0.4420 0.4368
B4 0.2223 0.2500 0.8464
B5 0.2777 0.7500 0.3464
B6 0.3677 0.5580 0.9368
B7 0.3677 0.9420 0.9368
B8 0.4468 0.7500 0.1470
B9 0.5532 0.2500 0.8530
B10 0.6323 0.0580 0.0632
B11 0.6323 0.4420 0.0632
B12 0.7223 0.2500 0.6536
B13 0.7777 0.7500 0.1536
B14 0.8677 0.5580 0.5632
B15 0.8677 0.9420 0.5632
B16 0.9468 0.7500 0.3530

Largest 12 diffraction maxima, most intense first, 10° ≤ 2θ ≤ 90°:
Position (°2θ), intensity
35.64, 100
38.70, 37
40.63, 27
60.22, 24
46.14, 23
71.29, 19
41.06, 19
71.81, 18
39.98, 18
49.09, 16
32.65, 15
65.87, 12

Mg2B13: theoretical powder diffraction line list (CuKα), based on a GGA-PBE-relaxed structure.
Kinematic intensities with the Lorentz-polarization factor, no thermal factor.

Atomic structure:
abc: 6.8931 6.8931 6.8931
angles: 41.28 41.28 41.28
Fractional positions:
Mg1 0.2112 0.2112 0.2112
Mg2 0.7888 0.7888 0.7888
B1 0.1429 0.4851 0.4851
B2 0.1536 0.7956 0.7956
B3 0.2044 0.2044 0.8464
B4 0.2044 0.8464 0.2044
B5 0.4851 0.1429 0.4851
B6 0.4851 0.4851 0.1429
B7 0.5000 0.5000 0.5000
B8 0.5149 0.5149 0.8571
B9 0.5149 0.8571 0.5149
B10 0.7956 0.1536 0.7956
B11 0.7956 0.7956 0.1536
B12 0.8464 0.2044 0.2044
B13 0.8571 0.5149 0.5149

Largest 12 diffraction maxima, most intense first, 10° ≤ 2θ ≤ 90°:
Position (°2θ), intensity
39.70, 100
37.00, 29
47.29, 29
23.14, 20
68.53, 20
31.83, 16
28.36, 15
55.37, 14
53.15, 13
49.59, 12
78.63, 11
58.87, 11

MgB4: theoretical powder diffraction line list (CuKα), based on a GGA-PBE-relaxed structure.
Kinematic intensities with the Lorentz-polarization factor, no thermal factor.

Atomic structure:
abc: 7.0132 7.0132 3.9652
angles: 90.00 90.00 90.00
Fractional positions:
Mg1 0.1600 0.3400 0.0000
Mg2 0.3400 0.8400 0.0000
Mg3 0.6600 0.1600 0.0000
Mg4 0.8400 0.6600 0.0000
B1 0.0000 0.0000 0.2033
B2 0.0000 0.0000 0.7967
B3 0.0349 0.8221 0.5000
B4 0.0850 0.5850 0.5000
B5 0.1779 0.0349 0.5000
B6 0.3221 0.5349 0.5000
B7 0.4150 0.0850 0.5000
B8 0.4651 0.3221 0.5000
B9 0.5000 0.5000 0.2033
B10 0.5000 0.5000 0.7967
B11 0.5349 0.6779 0.5000
B12 0.5850 0.9150 0.5000
B13 0.6779 0.4651 0.5000
B14 0.8221 0.9651 0.5000
B15 0.9150 0.4150 0.5000
B16 0.9651 0.1779 0.5000

Largest 12 diffraction maxima, most intense first, 10° ≤ 2θ ≤ 90°:
Position (°2θ), intensity
36.53, 100
28.46, 31
46.94, 31
34.13, 22
45.76, 18
53.90, 17
40.68, 17
74.78, 15
77.09, 15
73.34, 13
54.78, 11
55.60, 10

MgB12: theoretical powder diffraction line list (CuKα), based on a GGA-PBE-relaxed structure.
Kinematic intensities with the Lorentz-polarization factor, no thermal factor.

Atomic structure:
abc: 4.9589 4.9589 4.9589
angles: 90.00 90.00 90.00
Fractional positions:
Mg1 0.0000 0.0000 0.0000
B1 0.0000 0.2539 0.5000
B2 0.0000 0.5000 0.2539
B3 0.0000 0.5000 0.7461
B4 0.0000 0.7461 0.5000
B5 0.2539 0.0000 0.5000
B6 0.2539 0.5000 0.0000
B7 0.5000 0.0000 0.2539
B8 0.5000 0.0000 0.7461
B9 0.5000 0.2539 0.0000
B10 0.5000 0.7461 0.0000
B11 0.7461 0.0000 0.5000
B12 0.7461 0.5000 0.0000

Largest 12 diffraction maxima, most intense first, 10° ≤ 2θ ≤ 90°:
Position (°2θ), intensity
44.77, 100
17.89, 61
36.23, 51
71.14, 43
40.68, 28
31.24, 25
76.90, 18
55.60, 14
88.09, 13
65.17, 10
25.40, 9
79.73, 8

MgMnB14: theoretical powder diffraction line list (CuKα), based on a GGA-PBE-relaxed structure.
Kinematic intensities with the Lorentz-polarization factor, no thermal factor.

Atomic structure:
abc: 7.1942 7.1942 7.1942
angles: 131.64 88.67 111.02
Fractional positions:
Mg1 0.4067 0.1567 0.2500
Mg2 0.5933 0.8433 0.7500
Mn1 0.0000 0.0000 0.5000
Mn2 0.0000 0.5000 0.0000
B1 0.0373 0.2088 0.3338
B2 0.0373 0.7035 0.8285
B3 0.0457 0.8929 0.1528
B4 0.0809 0.6720 0.4088
B5 0.2010 0.5344 0.6666
B6 0.2249 0.5073 0.4025
B7 0.2249 0.8223 0.7176
B8 0.2368 0.3280 0.9088
B9 0.2401 0.8929 0.3472
B10 0.3678 0.5344 0.8334
B11 0.3750 0.2088 0.6715
B12 0.3750 0.7035 0.1662
B13 0.3952 0.1777 0.9025
B14 0.3952 0.4927 0.2176
B15 0.6048 0.5073 0.7824
B16 0.6048 0.8223 0.0975
B17 0.6250 0.2965 0.8338
B18 0.6250 0.7912 0.3285
B19 0.6322 0.4656 0.1666
B20 0.7599 0.1071 0.6528
B21 0.7632 0.6720 0.0912
B22 0.7751 0.1777 0.2824
B23 0.7751 0.4927 0.5975
B24 0.7990 0.4656 0.3334
B25 0.9191 0.3280 0.5912
B26 0.9543 0.1071 0.8472
B27 0.9627 0.2965 0.1715
B28 0.9627 0.7912 0.6662

Largest 12 diffraction maxima, most intense first, 10° ≤ 2θ ≤ 90°:
Position (°2θ), intensity
13.86, 100
41.91, 54
33.49, 49
27.94, 31
41.70, 27
17.23, 26
41.51, 21
42.45, 21
40.56, 18
21.82, 15
55.62, 14
53.06, 14

Mg14MnB: theoretical powder diffraction line list (CuKα), based on a GGA-PBE-relaxed structure.
Kinematic intensities with the Lorentz-polarization factor, no thermal factor.

Atomic structure:
abc: 6.2447 6.2447 9.7229
angles: 90.00 90.00 120.00
Fractional positions:
Mg1 0.0000 0.0000 0.2472
Mg2 0.0000 0.0000 0.7528
Mg3 0.0175 0.5087 0.2592
Mg4 0.0175 0.5087 0.7408
Mg5 0.3273 0.1637 0.5000
Mg6 0.3390 0.1695 0.0000
Mg7 0.4913 0.5087 0.2592
Mg8 0.4913 0.5087 0.7408
Mg9 0.4913 0.9825 0.2592
Mg10 0.4913 0.9825 0.7408
Mg11 0.8305 0.1695 0.0000
Mg12 0.8305 0.6610 0.0000
Mg13 0.8363 0.1637 0.5000
Mg14 0.8363 0.6727 0.5000
Mn1 0.3333 0.6667 0.0000
B1 0.3333 0.6667 0.5000

Largest 12 diffraction maxima, most intense first, 10° ≤ 2θ ≤ 90°:
Position (°2θ), intensity
38.08, 100
33.13, 25
36.98, 24
71.87, 18
59.18, 17
67.37, 16
50.49, 14
72.58, 13
18.78, 9
32.20, 4
30.06, 4
81.46, 3

Q: Number 8 is which compound?
A: MgB12